This entry pairs a crystal structure of Li2SmPtO4 with its calculated X-ray powder pattern. Radiation: Cu Kα (λ = 1.5418 Å). Structure: a crystal structure in Alexandria, relaxed with PBE.

Crystal structure
```
data_Li2SmPtO4
_symmetry_space_group_name_H-M 'I 2 2 2'
_symmetry_Int_Tables_number 23
_symmetry_space_group_name_Hall 'I 2 2'
_cell_length_a 5.5136
_cell_length_b 5.6894
_cell_length_c 6.3348
_cell_angle_alpha 90.00
_cell_angle_beta 90.00
_cell_angle_gamma 90.00
loop_
_atom_site_label
_atom_site_fract_x
_atom_site_fract_y
_atom_site_fract_z
Li1 0.0000 0.0000 0.2504
Sm1 0.0000 0.5000 0.0000
Pt1 0.0000 0.5000 0.5000
O1 0.2266 0.2571 0.6314
```

The 8 most intense peaks (2θ = 10–80°), most intense first:
- 2θ = 22.46°, I 100
- 2θ = 36.32°, I 69
- 2θ = 28.17°, I 28
- 2θ = 45.84°, I 24
- 2θ = 42.72°, I 19
- 2θ = 43.52°, I 18
- 2θ = 54.67°, I 18
- 2θ = 59.21°, I 17

This entry pairs a crystal structure of Li2UPtO6 with its calculated X-ray powder pattern. Radiation: Cu Kα (λ = 1.5418 Å). Structure: a crystal structure in Alexandria, relaxed with PBE.

Crystal structure
```
data_Li2UPtO6
_symmetry_space_group_name_H-M 'R 3'
_symmetry_Int_Tables_number 146
_symmetry_space_group_name_Hall 'R 3'
_cell_length_a 5.2983
_cell_length_b 5.2983
_cell_length_c 14.2566
_cell_angle_alpha 90.00
_cell_angle_beta 90.00
_cell_angle_gamma 120.00
loop_
_atom_site_label
_atom_site_fract_x
_atom_site_fract_y
_atom_site_fract_z
Li1 0.0000 0.0000 0.0000
Li2 0.0000 0.0000 0.4951
U1 0.0000 0.0000 0.2811
Pt1 0.0000 0.0000 0.7826
O1 0.0037 0.3716 0.0369
O2 0.0163 0.6400 0.5345
```

The 8 most intense peaks (2θ = 10–80°), most intense first:
- 2θ = 23.05°, I 100
- 2θ = 31.79°, I 43
- 2θ = 33.84°, I 31
- 2θ = 51.68°, I 28
- 2θ = 54.45°, I 19
- 2θ = 41.34°, I 18
- 2θ = 47.11°, I 18
- 2θ = 59.25°, I 16

This entry pairs a crystal structure of Li2PuO5 with its calculated X-ray powder pattern. Radiation: Cu Kα (λ = 1.5418 Å). Structure: a crystal structure in Alexandria, relaxed with PBE.

Crystal structure
```
data_Li2PuO5
_symmetry_space_group_name_H-M 'C 1 2/c 1'
_symmetry_Int_Tables_number 15
_symmetry_space_group_name_Hall '-C 2yc'
_cell_length_a 10.4696
_cell_length_b 5.1336
_cell_length_c 7.7452
_cell_angle_alpha 90.00
_cell_angle_beta 110.81
_cell_angle_gamma 90.00
loop_
_atom_site_label
_atom_site_fract_x
_atom_site_fract_y
_atom_site_fract_z
Li1 0.1402 0.0088 0.2584
Pu1 0.0000 0.5000 0.0000
O1 0.0000 0.2970 0.2500
O2 0.0916 0.2020 0.9636
O3 0.1683 0.3428 0.6400
```

The 8 most intense peaks (2θ = 10–80°), most intense first:
- 2θ = 19.53°, I 100
- 2θ = 18.13°, I 66
- 2θ = 28.88°, I 44
- 2θ = 24.86°, I 32
- 2θ = 24.59°, I 29
- 2θ = 32.52°, I 28
- 2θ = 34.51°, I 24
- 2θ = 34.11°, I 20

This entry pairs a crystal structure of LiPu2O7 with its calculated X-ray powder pattern. Radiation: Cu Kα (λ = 1.5418 Å). Structure: a crystal structure in Alexandria, relaxed with PBE.

Crystal structure
```
data_LiPu2O7
_symmetry_space_group_name_H-M 'P 1 2/m 1'
_symmetry_Int_Tables_number 10
_symmetry_space_group_name_Hall '-P 2y'
_cell_length_a 5.5615
_cell_length_b 4.1576
_cell_length_c 7.1558
_cell_angle_alpha 90.00
_cell_angle_beta 95.54
_cell_angle_gamma 90.00
loop_
_atom_site_label
_atom_site_fract_x
_atom_site_fract_y
_atom_site_fract_z
Li1 0.0000 0.0000 0.0000
Pu1 0.3907 0.5000 0.7713
O1 0.0736 0.5000 0.6857
O2 0.2934 0.5000 0.0776
O3 0.3735 0.0000 0.7921
O4 0.5000 0.5000 0.5000
```

The 8 most intense peaks (2θ = 10–80°), most intense first:
- 2θ = 16.01°, I 100
- 2θ = 21.37°, I 98
- 2θ = 19.33°, I 63
- 2θ = 25.00°, I 54
- 2θ = 26.82°, I 48
- 2θ = 33.12°, I 42
- 2θ = 35.91°, I 36
- 2θ = 28.97°, I 35